# Tm3HPbS
Theoretical X-ray powder pattern, Cu Ka. Input: the GGA-PBE geometry in Alexandria.
Kinematic intensities with the Lorentz-polarization factor, no thermal factor.

Structure:
Unit cell a=7.9422 b=4.0365 c=8.4188 alpha=90.00 beta=100.38 gamma=90.00
Space group P2_1/m (No. 11)
Unique sites:
Tm 0.0685 0.2500 0.3279 [2 per cell]
Tm 0.3232 0.2500 0.9572 [2 per cell]
Tm 0.3826 0.7500 0.6262 [2 per cell]
H 0.4110 0.7500 0.8967 [2 per cell]
Pb 0.3285 0.7500 0.2434 [2 per cell]
S 0.1551 0.2500 0.6489 [2 per cell]

Peak list (10 most intense, 2θ = 5–70°, most intense first)
(hkl), 2theta, d [Å], intensity
2 1 -1, 32.33, 2.769, 1000
3 0 0, 34.43, 2.605, 484
0 1 2, 30.94, 2.890, 409
1 1 1, 27.92, 3.196, 366
2 1 0, 31.88, 2.807, 354
2 0 -3, 36.29, 2.476, 344
0 2 0, 44.91, 2.018, 288
2 1 2, 41.12, 2.195, 253
0 1 5, 60.43, 1.532, 234
1 0 0, 11.33, 7.812, 221